Entry 1:
Theoretical powder XRD pattern of SrCa3Au for λ = 1.5418 Å (Cu Kα), from a crystal structure in Alexandria, relaxed with GGA-PBE.
Neutral-atom scattering factors, no anomalous dispersion.

Atomic structure:
```
SrCa3Au
1.0
6.7838 -2.0984 0.0000
6.7838 2.0984 0.0000
-5.4235 0.0000 12.9614
Sr Ca Au
2 6 2
Direct
0.0000 0.0000 0.0000
0.1225 0.1225 0.2926
0.3157 0.3157 0.7586
0.3399 0.3399 0.1475
0.6556 0.6556 0.5363
0.6821 0.6821 0.9069
0.8776 0.8776 0.3931
0.9933 0.9933 0.6704
0.3252 0.3252 0.5340
0.6797 0.6797 0.1441
```

Main lines, most intense first (5 to 70 degrees two-theta):
- 13.1 deg, rel. 100
- 30.2 deg, rel. 65
- 29.6 deg, rel. 55
- 6.8 deg, rel. 53
- 31.9 deg, rel. 46
- 13.7 deg, rel. 42
- 32.4 deg, rel. 42
- 33.5 deg, rel. 37
- 40.2 deg, rel. 32
- 20.0 deg, rel. 27

Entry 2:
Theoretical powder XRD pattern of SmNiB4 for λ = 1.5418 Å (Cu Kα), from a crystal structure in Alexandria, relaxed with GGA-PBE.
Neutral-atom scattering factors, no anomalous dispersion.

Atomic structure:
```
SmNiB4
1.0
-3.8143 3.8143 4.2945
3.8143 -3.8143 4.2945
3.8143 3.8143 -4.2945
Sm Ni B
4 4 16
Direct
0.2044 0.2044 0.0000
0.2500 0.7500 0.5000
0.7500 0.2500 0.5000
0.7956 0.7956 0.0000
0.2713 0.5000 0.7713
0.5000 0.2713 0.7713
0.5000 0.7287 0.2287
0.7287 0.5000 0.2287
0.1119 0.2758 0.3877
0.1119 0.7242 0.8361
0.1134 0.1134 0.5309
0.1134 0.5825 0.0000
0.2758 0.1119 0.3877
0.2758 0.8881 0.1639
0.4175 0.4175 0.5309
0.4175 0.8866 0.0000
0.5825 0.1134 0.0000
0.5825 0.5825 0.4691
0.7242 0.1119 0.8361
0.7242 0.8881 0.6123
0.8866 0.4175 0.0000
0.8866 0.8866 0.4691
0.8881 0.2758 0.1639
0.8881 0.7242 0.6123
```

Main lines, most intense first (5 to 70 degrees two-theta):
- 39.5 deg, rel. 100
- 31.4 deg, rel. 82
- 23.3 deg, rel. 71
- 47.7 deg, rel. 33
- 33.4 deg, rel. 28
- 58.2 deg, rel. 25
- 28.1 deg, rel. 21
- 53.7 deg, rel. 19
- 33.2 deg, rel. 18
- 48.7 deg, rel. 16

Entry 3:
Theoretical powder XRD pattern of SrSi7 for λ = 1.5418 Å (Cu Kα), from a crystal structure in Alexandria, relaxed with GGA-PBE.
Neutral-atom scattering factors, no anomalous dispersion.

Atomic structure:
```
SrSi7
1.0
0.0000 4.1313 4.1313
4.1313 0.0000 4.1313
4.1313 4.1313 0.0000
Sr Si
1 7
Direct
0.0000 0.0000 0.0000
0.0000 0.0000 0.5000
0.0000 0.5000 0.0000
0.0000 0.5000 0.5000
0.5000 0.0000 0.0000
0.5000 0.0000 0.5000
0.5000 0.5000 0.0000
0.5000 0.5000 0.5000
```

Main lines, most intense first (5 to 70 degrees two-theta):
- 37.7 deg, rel. 100
- 43.8 deg, rel. 48
- 63.7 deg, rel. 31
- 18.6 deg, rel. 24
- 36.1 deg, rel. 15
- 21.5 deg, rel. 13
- 30.6 deg, rel. 11
- 48.0 deg, rel. 7
- 49.3 deg, rel. 6
- 58.0 deg, rel. 5

Entry 4:
Theoretical powder XRD pattern of MnTl2As for λ = 1.5418 Å (Cu Kα), from a crystal structure in Alexandria, relaxed with GGA-PBE.
Neutral-atom scattering factors, no anomalous dispersion.

Atomic structure:
```
MnTl2As
1.0
7.3419 0.0000 0.0000
0.0000 4.2316 0.0000
-2.4277 0.0000 6.8302
Mn Tl As
2 4 2
Direct
0.0000 0.0000 0.0000
0.5000 0.5000 0.0000
0.2373 0.0000 0.7113
0.4497 0.0000 0.3507
0.7373 0.5000 0.7113
0.9497 0.5000 0.3507
0.1806 0.5000 0.0407
0.6806 0.0000 0.0407
```

Main lines, most intense first (5 to 70 degrees two-theta):
- 30.0 deg, rel. 100
- 32.8 deg, rel. 76
- 42.7 deg, rel. 56
- 24.7 deg, rel. 48
- 59.7 deg, rel. 25
- 39.6 deg, rel. 21
- 54.8 deg, rel. 18
- 53.1 deg, rel. 14
- 59.5 deg, rel. 13
- 64.3 deg, rel. 10